Record 1
Diffraction record for TiCo2PRu. The powder XRD pattern is theoretical, not measured: it uses a cell relaxed with GGA-PBE and λ = 1.5418 Å (Cu Kα).

The 10 most intense peaks (15 to 90 degrees two-theta), by angle:
2θ 19.58, I 52, (1 0 0); 2θ 20.56, I 66, (0 0 1); 2θ 28.54, I 77, (1 0 1); 2θ 34.86, I 31, (1 1 1); 2θ 39.77, I 100, (2 0 0); 2θ 41.83, I 43, (0 0 2); 2θ 45.18, I 34, (2 0 1); 2θ 49.68, I 32, (2 1 1); 2θ 57.51, I 32, (2 2 0); 2θ 59.08, I 58, (2 0 2)

```
data_TiCo2PRu
_chemical_formula_sum 'Ti1 Co2 P1 Ru1'
_space_group_name_H-M_alt 'P 4/m m m'
_space_group_IT_number 123
_space_group_name_Hall '-P 4 2'
_cell_length_a 4.533
_cell_length_b 4.533
_cell_length_c 4.320
_cell_angle_alpha 90.00
_cell_angle_beta 90.00
_cell_angle_gamma 90.00
loop_
_atom_site_label
_atom_site_type_symbol
_atom_site_fract_x
_atom_site_fract_y
_atom_site_fract_z
_atom_site_occupancy
Ti1 Ti 0.000 0.000 0.000 1
Co1 Co 0.000 0.500 0.500 1
P1 P 0.500 0.500 0.000 1
Ru1 Ru 0.500 0.500 0.500 1
```



Record 2
Diffraction record for Co3PS. The powder XRD pattern is theoretical, not measured: it uses a cell relaxed with GGA-PBE and λ = 1.5418 Å (Cu Kα).

The 9 most intense peaks (15 to 90 degrees two-theta), by angle:
2θ 21.37, I 33, (1 0 0); 2θ 37.47, I 100, (1 1 1); 2θ 43.53, I 83, (2 0 0); 2θ 48.99, I 14, (2 1 0); 2θ 63.26, I 50, (2 2 0); 2θ 67.59, I 6, (3 0 0); 2θ 75.90, I 32, (3 1 1); 2θ 79.93, I 16, (2 2 2); 2θ 83.91, I 3, (3 2 0)

```
data_Co3PS
_chemical_formula_sum 'Co3 P1 S1'
_space_group_name_H-M_alt 'P m -3 m'
_space_group_IT_number 221
_space_group_name_Hall '-P 4 2 3'
_cell_length_a 4.158
_cell_length_b 4.158
_cell_length_c 4.158
_cell_angle_alpha 90.00
_cell_angle_beta 90.00
_cell_angle_gamma 90.00
loop_
_atom_site_label
_atom_site_type_symbol
_atom_site_fract_x
_atom_site_fract_y
_atom_site_fract_z
_atom_site_occupancy
Co1 Co 0.000 0.000 0.500 1
P1 P 0.000 0.000 0.000 1
S1 S 0.500 0.500 0.500 1
```